Record 1
This entry pairs a crystal structure of NaPm3Br8 with its computed X-ray powder pattern. Radiation: Cu Kα, 1.54184 Å. Structure: a GGA-PBE-relaxed structure.
No peak broadening, texture or thermal motion is included.

Largest 8 diffraction maxima, by angle, 2θ from 5° to 70°:
| Position (°2θ) | I/Imax |
| --- | --- |
| 12.0 | 453 |
| 13.2 | 153 |
| 25.7 | 197 |
| 30.2 | 1000 |
| 41.7 | 404 |
| 44.6 | 357 |
| 54.8 | 185 |
| 69.0 | 176 |

Structural model:
```
NaPm3Br8
1.0
4.0599 2.3440 7.3460
-4.0599 2.3440 7.3460
0.0000 -4.6880 7.3460
Na Pm Br
1 3 8
direct
0.0000 0.0000 0.0000
0.0000 0.0000 0.5000
0.0000 0.5000 0.0000
0.5000 0.0000 0.0000
0.2474 0.7459 0.7459
0.2509 0.2509 0.2509
0.2541 0.2541 0.7526
0.2541 0.7526 0.2541
0.7459 0.2474 0.7459
0.7459 0.7459 0.2474
0.7491 0.7491 0.7491
0.7526 0.2541 0.2541
```



Record 2
This entry pairs a crystal structure of CdSb6S8I4 with its computed X-ray powder pattern. Radiation: Cu Kα, 1.54184 Å. Structure: a GGA-PBE-relaxed structure.
No peak broadening, texture or thermal motion is included.

Largest 8 diffraction maxima, by angle, 2θ from 5° to 70°:
| Position (°2θ) | I/Imax |
| --- | --- |
| 13.5 | 834 |
| 27.9 | 696 |
| 29.1 | 418 |
| 29.5 | 536 |
| 29.6 | 770 |
| 30.6 | 1000 |
| 32.8 | 457 |
| 48.3 | 458 |

Structural model:
```
CdSb6S8I4
1.0
7.6212 0.0000 0.0000
-3.0556 8.5936 0.0000
-0.8761 -0.8948 9.0557
Cd Sb S I
1 6 8 4
direct
0.0000 0.0000 0.0000
0.2170 0.7966 0.2941
0.2329 0.4380 0.9381
0.2377 0.1463 0.6498
0.7623 0.8537 0.3502
0.7671 0.5620 0.0619
0.7830 0.2034 0.7059
0.0885 0.0257 0.3136
0.0890 0.7239 0.0106
0.0932 0.3810 0.6519
0.3242 0.1904 0.9310
0.6758 0.8096 0.0690
0.9068 0.6190 0.3481
0.9110 0.2761 0.9894
0.9115 0.9743 0.6864
0.3432 0.8491 0.6556
0.3647 0.4807 0.2800
0.6353 0.5193 0.7200
0.6568 0.1509 0.3444
```



Record 3
This entry pairs a crystal structure of Th4NpP5 with its computed X-ray powder pattern. Radiation: Cu Kα, 1.54184 Å. Structure: a GGA-PBE-relaxed structure.
No peak broadening, texture or thermal motion is included.

Largest 6 diffraction maxima, by angle, 2θ from 5° to 70°:
| Position (°2θ) | I/Imax |
| --- | --- |
| 26.5 | 1000 |
| 30.7 | 920 |
| 44.0 | 693 |
| 52.1 | 510 |
| 54.6 | 247 |
| 64.0 | 116 |

Structural model:
```
Th4NpP5
1.0
-4.6009 4.6009 2.9089
4.6009 -4.6009 2.9089
4.6009 4.6009 -2.9089
Th Np P
4 1 5
direct
0.0980 0.2998 0.3978
0.2998 0.9020 0.2017
0.7002 0.0980 0.7983
0.9020 0.7002 0.6022
0.5000 0.5000 0.0000
0.0000 0.0000 0.0000
0.2056 0.5984 0.8041
0.4016 0.2056 0.6072
0.5984 0.7944 0.3928
0.7944 0.4016 0.1959
```



Record 4
This entry pairs a crystal structure of YScSi2O7 with its computed X-ray powder pattern. Radiation: Cu Kα, 1.54184 Å. Structure: a GGA-PBE-relaxed structure.
No peak broadening, texture or thermal motion is included.

Largest 8 diffraction maxima, by angle, 2θ from 5° to 70°:
| Position (°2θ) | I/Imax |
| --- | --- |
| 16.8 | 338 |
| 27.6 | 437 |
| 28.0 | 1000 |
| 29.8 | 543 |
| 33.4 | 222 |
| 33.9 | 250 |
| 40.2 | 272 |
| 42.9 | 247 |

Structural model:
```
YScSi2O7
1.0
3.3799 -4.3948 0.0000
3.3799 4.3948 0.0000
-0.9646 0.0000 4.6343
Y Sc Si O
1 1 2 7
direct
0.0000 0.0000 0.0000
0.6135 0.3865 0.0000
0.0782 0.4834 0.5885
0.5166 0.9218 0.4115
0.2419 0.3299 0.7747
0.2611 0.7389 0.5000
0.4053 0.1034 0.2099
0.6701 0.7581 0.2253
0.6851 0.0827 0.7175
0.8966 0.5947 0.7901
0.9173 0.3149 0.2825
```



Record 5
This entry pairs a crystal structure of K2P3H7O9 with its computed X-ray powder pattern. Radiation: Cu Kα, 1.54184 Å. Structure: a GGA-PBE-relaxed structure.
No peak broadening, texture or thermal motion is included.

Largest 8 diffraction maxima, by angle, 2θ from 5° to 70°:
| Position (°2θ) | I/Imax |
| --- | --- |
| 20.1 | 379 |
| 23.1 | 640 |
| 25.1 | 1000 |
| 25.5 | 287 |
| 26.3 | 746 |
| 26.8 | 465 |
| 29.1 | 442 |
| 32.9 | 294 |

Structural model:
```
K2P3H7O9
1.0
7.7066 0.0000 0.0000
0.1731 8.8001 0.0000
3.6780 1.6735 8.2602
K P H O
4 6 14 18
direct
0.0884 0.0744 0.1521
0.1807 0.5985 0.0968
0.8193 0.4015 0.9032
0.9116 0.9256 0.8479
0.0246 0.7193 0.5198
0.3566 0.3632 0.7618
0.4383 0.8979 0.7757
0.5617 0.1021 0.2243
0.6434 0.6368 0.2382
0.9754 0.2807 0.4802
0.1460 0.5956 0.5066
0.2037 0.2647 0.6333
0.2466 0.9132 0.4212
0.3533 0.2876 0.2512
0.4272 0.9140 0.6243
0.4346 0.5130 0.6767
0.4540 0.8261 0.2113
0.5460 0.1739 0.7887
0.5654 0.4870 0.3233
0.5728 0.0860 0.3757
0.6467 0.7124 0.7488
0.7534 0.0868 0.5788
0.7963 0.7353 0.3667
0.8540 0.4044 0.4934
0.0136 0.2460 0.6333
0.1427 0.3220 0.3171
0.1433 0.8606 0.5293
0.1768 0.3699 0.9072
0.2449 0.9081 0.9060
0.3375 0.2737 0.6358
0.4023 0.9849 0.2456
0.4761 0.7115 0.1975
0.4956 0.2732 0.1914
0.5044 0.7268 0.8086
0.5239 0.2885 0.8025
0.5977 0.0151 0.7544
0.6625 0.7263 0.3642
0.7551 0.0919 0.0940
0.8232 0.6301 0.0928
0.8567 0.1394 0.4707
0.8573 0.6780 0.6829
0.9864 0.7540 0.3667
```